(1)
Computed powder XRD pattern of BeRu2N for Cu Kα (weighted mean of Kα1 and Kα2), from DFT lattice parameters and positions (PBE).
Neutral-atom scattering factors, no anomalous dispersion.

Largest 12 diffraction maxima, by intensity, 2θ = 5–70°:
Position (°2θ), intensity
36.8, 100
24.9, 56
42.6, 44
53.9, 37
47.2, 37
26.6, 30
51.2, 12
46.0, 9
61.9, 9
61.1, 8
68.1, 2
38.0, 1

Cell and atoms:
Lattice parameters (Å, degrees): 5.189 5.189 5.189 99.51 99.51 132.03
Element x y z (fractional)
Be (0.000, 0.000, 0.000)
Be (0.750, 0.250, 0.500)
Ru (0.247, 0.625, 0.122)
Ru (0.375, 0.497, 0.622)
Ru (0.503, 0.125, 0.878)
Ru (0.875, 0.753, 0.378)
N (0.250, 0.750, 0.500)
N (0.500, 0.500, 0.000)

---

(2)
Computed powder XRD pattern of Be3SN for Cu Kα (weighted mean of Kα1 and Kα2), from DFT lattice parameters and positions (PBE).
Neutral-atom scattering factors, no anomalous dispersion.

Largest 6 diffraction maxima, by intensity, 2θ = 5–70°:
Position (°2θ), intensity
35.8, 100
51.5, 38
44.2, 31
64.3, 26
25.1, 13
58.2, 6

Cell and atoms:
Lattice parameters (Å, degrees): 3.547 3.547 3.547 90.00 90.00 90.00
Element x y z (fractional)
Be (0.000, 0.000, 0.500)
Be (0.000, 0.500, 0.000)
Be (0.500, 0.000, 0.000)
S (0.500, 0.500, 0.500)
N (0.000, 0.000, 0.000)

---

(3)
Computed powder XRD pattern of BeSN for Cu Kα (weighted mean of Kα1 and Kα2), from DFT lattice parameters and positions (PBE).
Neutral-atom scattering factors, no anomalous dispersion.

Largest 12 diffraction maxima, by intensity, 2θ = 5–70°:
Position (°2θ), intensity
22.8, 100
8.2, 90
30.9, 54
29.3, 44
24.6, 31
33.8, 24
45.5, 15
16.3, 14
56.7, 12
24.3, 12
44.3, 12
48.6, 11

Cell and atoms:
Lattice parameters (Å, degrees): 4.291 4.291 10.891 92.13 92.13 130.63
Element x y z (fractional)
Be (0.235, 0.235, 0.445)
Be (0.765, 0.765, 0.555)
S (0.287, 0.287, 0.636)
S (0.713, 0.713, 0.364)
N (0.082, 0.082, 0.046)
N (0.918, 0.918, 0.954)

---

(4)
Computed powder XRD pattern of SrSmBeN2 for Cu Kα (weighted mean of Kα1 and Kα2), from DFT lattice parameters and positions (PBE).
Neutral-atom scattering factors, no anomalous dispersion.

Largest 12 diffraction maxima, by intensity, 2θ = 5–70°:
Position (°2θ), intensity
23.7, 100
35.5, 81
26.0, 31
43.2, 25
43.0, 24
33.6, 20
48.5, 18
33.9, 18
55.9, 17
59.3, 16
61.4, 16
61.7, 15

Cell and atoms:
Lattice parameters (Å, degrees): 5.285 5.328 6.848 90.00 90.00 90.00
Element x y z (fractional)
Sr (0.000, 0.000, 0.250)
Sr (0.000, 0.000, 0.750)
Sm (0.500, 0.500, 0.250)
Sm (0.500, 0.500, 0.750)
Be (0.000, 0.500, 0.000)
Be (0.000, 0.500, 0.500)
N (0.231, 0.322, 0.000)
N (0.231, 0.678, 0.500)
N (0.769, 0.322, 0.500)
N (0.769, 0.678, 0.000)

---

(5)
Computed powder XRD pattern of Sr2BeN2 for Cu Kα (weighted mean of Kα1 and Kα2), from DFT lattice parameters and positions (PBE).
Neutral-atom scattering factors, no anomalous dispersion.

Largest 12 diffraction maxima, by intensity, 2θ = 5–70°:
Position (°2θ), intensity
28.1, 100
33.9, 65
31.2, 50
38.1, 45
30.9, 44
22.4, 43
51.9, 35
29.7, 33
33.1, 28
46.5, 27
37.7, 21
53.9, 20

Cell and atoms:
Lattice parameters (Å, degrees): 7.313 5.293 9.465 90.00 90.00 90.00
Element x y z (fractional)
Sr (0.007, 0.250, 0.175)
Sr (0.146, 0.250, 0.601)
Sr (0.354, 0.750, 0.101)
Sr (0.493, 0.750, 0.675)
Sr (0.507, 0.250, 0.325)
Sr (0.646, 0.250, 0.899)
Sr (0.854, 0.750, 0.399)
Sr (0.993, 0.750, 0.825)
Be (0.217, 0.250, 0.942)
Be (0.283, 0.750, 0.442)
Be (0.717, 0.250, 0.558)
Be (0.783, 0.750, 0.058)
N (0.041, 0.250, 0.855)
N (0.155, 0.750, 0.572)
N (0.345, 0.250, 0.072)
N (0.459, 0.750, 0.355)
N (0.541, 0.250, 0.645)
N (0.655, 0.750, 0.928)
N (0.845, 0.250, 0.428)
N (0.959, 0.750, 0.145)

---

(6)
Computed powder XRD pattern of SrTbBeN2 for Cu Kα (weighted mean of Kα1 and Kα2), from DFT lattice parameters and positions (PBE).
Neutral-atom scattering factors, no anomalous dispersion.

Largest 12 diffraction maxima, by intensity, 2θ = 5–70°:
Position (°2θ), intensity
23.9, 100
35.9, 79
26.5, 30
44.0, 24
43.2, 24
33.5, 21
48.8, 18
56.4, 17
34.5, 17
16.6, 17
61.5, 16
60.3, 16

Cell and atoms:
Lattice parameters (Å, degrees): 5.198 5.353 6.733 90.00 90.00 90.00
Element x y z (fractional)
Sr (0.000, 0.000, 0.250)
Sr (0.000, 0.000, 0.750)
Tb (0.500, 0.500, 0.250)
Tb (0.500, 0.500, 0.750)
Be (0.000, 0.500, 0.000)
Be (0.000, 0.500, 0.500)
N (0.237, 0.325, 0.000)
N (0.237, 0.675, 0.500)
N (0.763, 0.325, 0.500)
N (0.763, 0.675, 0.000)

---

(7)
Computed powder XRD pattern of SrTmBeN2 for Cu Kα (weighted mean of Kα1 and Kα2), from DFT lattice parameters and positions (PBE).
Neutral-atom scattering factors, no anomalous dispersion.

Largest 12 diffraction maxima, by intensity, 2θ = 5–70°:
Position (°2θ), intensity
24.0, 100
36.4, 76
27.0, 29
43.4, 24
44.8, 23
33.3, 21
16.5, 20
49.2, 18
57.0, 17
35.1, 17
61.6, 16
61.4, 15

Cell and atoms:
Lattice parameters (Å, degrees): 5.107 5.382 6.612 90.00 90.00 90.00
Element x y z (fractional)
Sr (0.000, 0.000, 0.250)
Sr (0.000, 0.000, 0.750)
Tm (0.500, 0.500, 0.250)
Tm (0.500, 0.500, 0.750)
Be (0.000, 0.500, 0.000)
Be (0.000, 0.500, 0.500)
N (0.243, 0.328, 0.000)
N (0.243, 0.672, 0.500)
N (0.757, 0.328, 0.500)
N (0.757, 0.672, 0.000)

---

(8)
Computed powder XRD pattern of Sr2BeWN4 for Cu Kα (weighted mean of Kα1 and Kα2), from DFT lattice parameters and positions (PBE).
Neutral-atom scattering factors, no anomalous dispersion.

Largest 12 diffraction maxima, by intensity, 2θ = 5–70°:
Position (°2θ), intensity
33.9, 100
20.3, 52
19.4, 46
31.5, 39
28.9, 29
43.3, 27
57.6, 22
37.3, 19
53.8, 18
14.3, 14
29.9, 12
54.5, 12

Cell and atoms:
Lattice parameters (Å, degrees): 5.681 6.817 6.178 90.00 90.00 90.00
Element x y z (fractional)
Sr (0.250, 0.002, 0.240)
Sr (0.250, 0.498, 0.240)
Sr (0.750, 0.502, 0.760)
Sr (0.750, 0.998, 0.760)
Be (0.250, 0.750, 0.672)
Be (0.750, 0.250, 0.328)
W (0.250, 0.250, 0.680)
W (0.750, 0.750, 0.320)
N (0.010, 0.750, 0.505)
N (0.250, 0.005, 0.830)
N (0.250, 0.495, 0.830)
N (0.490, 0.750, 0.505)
N (0.510, 0.250, 0.495)
N (0.750, 0.505, 0.170)
N (0.750, 0.995, 0.170)
N (0.990, 0.250, 0.495)

---

(9)
Computed powder XRD pattern of Ta2BeN for Cu Kα (weighted mean of Kα1 and Kα2), from DFT lattice parameters and positions (PBE).
Neutral-atom scattering factors, no anomalous dispersion.

Largest 12 diffraction maxima, by intensity, 2θ = 5–70°:
Position (°2θ), intensity
34.8, 100
38.8, 81
14.3, 40
28.8, 35
59.8, 28
48.2, 24
67.7, 20
41.5, 18
52.1, 18
65.3, 17
43.8, 14
61.8, 5

Cell and atoms:
Lattice parameters (Å, degrees): 6.452 6.452 6.452 27.74 27.74 27.74
Element x y z (fractional)
Ta (0.233, 0.233, 0.233)
Ta (0.767, 0.767, 0.767)
Be (0.000, 0.000, 0.000)
N (0.500, 0.500, 0.500)

---

(10)
Computed powder XRD pattern of BeTe2N2 for Cu Kα (weighted mean of Kα1 and Kα2), from DFT lattice parameters and positions (PBE).
Neutral-atom scattering factors, no anomalous dispersion.

Largest 11 diffraction maxima, by intensity, 2θ = 5–70°:
Position (°2θ), intensity
24.6, 100
38.6, 98
35.1, 70
46.3, 43
65.3, 39
29.2, 37
50.5, 24
56.9, 21
59.4, 21
66.4, 13
60.6, 7

Cell and atoms:
Lattice parameters (Å, degrees): 5.113 5.113 3.055 90.00 90.00 90.00
Element x y z (fractional)
Be (0.000, 0.000, 0.000)
Te (0.000, 0.500, 0.000)
Te (0.500, 0.000, 0.000)
N (0.000, 0.000, 0.500)
N (0.500, 0.500, 0.500)

---

(11)
Computed powder XRD pattern of BeZnTeN2 for Cu Kα (weighted mean of Kα1 and Kα2), from DFT lattice parameters and positions (PBE).
Neutral-atom scattering factors, no anomalous dispersion.

Largest 12 diffraction maxima, by intensity, 2θ = 5–70°:
Position (°2θ), intensity
15.5, 100
38.4, 80
31.3, 40
34.9, 34
47.6, 29
60.3, 22
50.2, 20
60.5, 20
52.8, 19
24.5, 10
29.1, 8
47.8, 6

Cell and atoms:
Lattice parameters (Å, degrees): 3.638 3.638 5.711 90.00 90.00 90.00
Element x y z (fractional)
Be (0.000, 0.000, 0.000)
Zn (0.500, 0.500, 0.500)
Te (0.000, 0.000, 0.500)
N (0.000, 0.500, 0.000)
N (0.500, 0.000, 0.000)

---

(12)
Computed powder XRD pattern of Ti3BeN for Cu Kα (weighted mean of Kα1 and Kα2), from DFT lattice parameters and positions (PBE).
Neutral-atom scattering factors, no anomalous dispersion.

Largest 12 diffraction maxima, by intensity, 2θ = 5–70°:
Position (°2θ), intensity
38.0, 100
37.8, 85
39.5, 80
41.2, 48
17.3, 42
41.7, 33
64.8, 28
32.5, 22
22.1, 22
60.6, 20
36.7, 20
35.0, 19

Cell and atoms:
Lattice parameters (Å, degrees): 5.357 5.357 8.062 90.00 90.00 146.86
Element x y z (fractional)
Ti (0.054, 0.946, 0.750)
Ti (0.369, 0.631, 0.551)
Ti (0.369, 0.631, 0.949)
Ti (0.631, 0.369, 0.051)
Ti (0.631, 0.369, 0.449)
Ti (0.946, 0.054, 0.250)
Be (0.255, 0.745, 0.250)
Be (0.745, 0.255, 0.750)
N (0.000, 0.000, 0.000)
N (0.000, 0.000, 0.500)

---

- Number 8 is which compound?
  Sr2BeWN4